Simulated PXRD pattern of Cr3In2F8 for Cu Kα X-rays, from a DFT-relaxed cell (PBE+U, Alexandria).
Kinematic intensities with the Lorentz-polarization factor, no thermal factor.

Peak list (10 most intense, 2θ from 10° to 90°, by angle)
2theta	I/Imax
16.1	70.3
20.5	54.9
21.0	82.3
23.3	82.9
24.0	73.7
27.9	100.0
29.0	79.7
29.3	76.2
32.3	49.5
39.5	43.5

```
Cr3In2F8
1.0
5.549 0.000 0.000
0.726 6.816 0.000
0.484 3.210 6.774
Cr In F
3 2 8
direct
0.000 0.000 0.000
0.499 0.257 0.003
0.501 0.743 0.997
0.021 0.682 0.627
0.979 0.318 0.373
0.184 0.850 0.839
0.195 0.330 0.844
0.315 0.899 0.152
0.343 0.396 0.176
0.657 0.604 0.824
0.685 0.101 0.848
0.805 0.670 0.156
0.816 0.150 0.161
```


Simulated PXRD pattern of Cr4InF12 for Cu Kα X-rays, from a DFT-relaxed cell (PBE+U, Alexandria).
Kinematic intensities with the Lorentz-polarization factor, no thermal factor.

Peak list (10 most intense, 2θ from 10° to 90°, by angle)
2theta	I/Imax
15.7	100.0
22.4	37.8
27.5	35.0
31.7	57.2
31.9	28.4
42.5	22.6
45.2	24.4
45.7	47.0
56.7	21.6
66.3	25.3

```
Cr4InF12
1.0
-3.969 3.970 4.010
3.969 -3.970 4.010
3.969 3.970 -4.010
Cr In F
4 1 12
direct
0.000 0.000 0.500
0.000 0.500 0.000
0.500 0.000 0.000
0.500 0.500 0.500
0.000 0.000 0.000
0.021 0.759 0.262
0.241 0.258 0.499
0.241 0.742 0.983
0.260 0.022 0.762
0.260 0.498 0.238
0.498 0.759 0.738
0.502 0.241 0.262
0.740 0.502 0.762
0.740 0.978 0.238
0.759 0.258 0.017
0.759 0.742 0.501
0.979 0.241 0.738
```


Simulated PXRD pattern of ZnCr2InF6 for Cu Kα X-rays, from a DFT-relaxed cell (PBE+U, Alexandria).
Kinematic intensities with the Lorentz-polarization factor, no thermal factor.

Peak list (10 most intense, 2θ from 10° to 90°, by angle)
2theta	I/Imax
17.9	38.4
28.1	100.0
28.7	80.0
29.8	57.1
29.9	77.5
30.1	69.3
30.7	66.3
40.1	69.8
41.2	56.3
45.5	38.7

```
ZnCr2InF6
1.0
5.859 0.000 0.000
-2.554 5.421 0.000
-0.563 -3.326 4.954
Zn Cr In F
1 2 1 6
direct
0.000 0.000 0.000
0.339 0.586 0.854
0.849 0.578 0.339
0.578 0.074 0.585
0.025 0.023 0.642
0.077 0.633 0.040
0.144 0.588 0.557
0.548 0.582 0.143
0.630 0.594 0.690
0.688 0.134 0.067
```


Simulated PXRD pattern of KCr3F9 for Cu Kα X-rays, from a DFT-relaxed cell (PBE+U, Alexandria).
Kinematic intensities with the Lorentz-polarization factor, no thermal factor.

Peak list (10 most intense, 2θ from 10° to 90°, by angle)
2theta	I/Imax
13.6	21.4
22.2	42.2
26.2	35.4
27.4	100.0
32.7	26.4
45.4	23.7
48.4	41.0
53.8	34.1
56.5	15.8
68.5	23.8

```
KCr3F9
1.0
7.524 0.000 0.000
-3.762 6.516 0.000
0.000 0.000 3.997
K Cr F
1 3 9
direct
0.000 0.000 0.000
0.000 0.500 0.500
0.500 0.000 0.500
0.500 0.500 0.500
0.000 0.500 0.000
0.202 0.403 0.500
0.202 0.798 0.500
0.403 0.202 0.500
0.500 0.000 0.000
0.500 0.500 0.000
0.597 0.798 0.500
0.798 0.202 0.500
0.798 0.597 0.500
```


Simulated PXRD pattern of K3Cr2F9 for Cu Kα X-rays, from a DFT-relaxed cell (PBE+U, Alexandria).
Kinematic intensities with the Lorentz-polarization factor, no thermal factor.

Peak list (10 most intense, 2θ from 10° to 90°, by angle)
2theta	I/Imax
17.3	32.7
18.3	100.0
30.3	57.8
33.7	50.8
37.0	31.3
39.3	40.2
42.3	40.6
45.9	30.0
56.0	30.9
63.0	25.3

```
K3Cr2F9
1.0
5.904 0.000 0.000
-2.952 5.113 0.000
0.000 0.000 15.566
K Cr F
6 4 18
direct
0.000 0.000 0.250
0.000 0.000 0.750
0.333 0.667 0.064
0.333 0.667 0.436
0.667 0.333 0.564
0.667 0.333 0.936
0.333 0.667 0.660
0.333 0.667 0.840
0.667 0.333 0.160
0.667 0.333 0.340
0.043 0.521 0.750
0.179 0.358 0.595
0.179 0.358 0.905
0.179 0.821 0.595
0.179 0.821 0.905
0.358 0.179 0.095
0.358 0.179 0.405
0.479 0.521 0.750
0.479 0.957 0.750
0.521 0.043 0.250
0.521 0.479 0.250
0.642 0.821 0.595
0.642 0.821 0.905
0.821 0.179 0.095
0.821 0.179 0.405
0.821 0.642 0.095
0.821 0.642 0.405
0.957 0.479 0.250
```


Simulated PXRD pattern of K3LiCr2F9 for Cu Kα X-rays, from a DFT-relaxed cell (PBE+U, Alexandria).
Kinematic intensities with the Lorentz-polarization factor, no thermal factor.

Peak list (10 most intense, 2θ from 10° to 90°, by angle)
2theta	I/Imax
17.6	16.4
21.6	25.5
30.8	100.0
37.8	9.1
38.0	31.0
44.1	87.7
54.8	26.7
64.0	22.3
64.2	23.0
81.2	10.4

```
K3LiCr2F9
1.0
5.803 0.000 0.000
-2.902 5.026 0.000
0.000 0.000 7.133
K Li Cr F
3 1 2 9
direct
0.000 0.000 0.000
0.333 0.667 0.648
0.667 0.333 0.352
0.000 0.000 0.500
0.333 0.667 0.169
0.667 0.333 0.831
0.000 0.500 0.000
0.169 0.338 0.326
0.169 0.831 0.326
0.338 0.169 0.674
0.500 0.000 0.000
0.500 0.500 0.000
0.662 0.831 0.326
0.831 0.169 0.674
0.831 0.662 0.674
```


Simulated PXRD pattern of K3Na2CrF9 for Cu Kα X-rays, from a DFT-relaxed cell (PBE+U, Alexandria).
Kinematic intensities with the Lorentz-polarization factor, no thermal factor.

Peak list (10 most intense, 2θ from 10° to 90°, by angle)
2theta	I/Imax
17.0	16.9
20.8	34.2
29.4	63.1
29.7	56.9
36.5	38.5
42.3	100.0
52.5	24.4
58.0	12.2
60.9	18.9
61.7	27.1

```
K3Na2CrF9
1.0
6.011 0.000 0.000
-3.005 5.205 0.000
0.000 0.000 7.499
K Na Cr F
3 2 1 9
direct
0.000 0.000 0.000
0.333 0.667 0.720
0.667 0.333 0.280
0.333 0.667 0.183
0.667 0.333 0.817
0.000 0.000 0.500
0.000 0.500 0.000
0.149 0.298 0.354
0.149 0.851 0.354
0.298 0.149 0.646
0.500 0.000 0.000
0.500 0.500 0.000
0.702 0.851 0.354
0.851 0.149 0.646
0.851 0.702 0.646
```


Simulated PXRD pattern of KNdCrF6 for Cu Kα X-rays, from a DFT-relaxed cell (PBE+U, Alexandria).
Kinematic intensities with the Lorentz-polarization factor, no thermal factor.

Peak list (10 most intense, 2θ from 10° to 90°, by angle)
2theta	I/Imax
16.7	63.5
16.9	28.2
18.9	39.9
23.9	100.0
29.5	45.8
34.1	56.0
38.3	23.5
45.4	68.1
49.1	26.0
52.4	27.9

```
KNdCrF6
1.0
6.046 0.000 0.000
-3.023 5.236 0.000
0.000 0.000 10.633
K Nd Cr F
2 2 2 12
direct
0.000 0.000 0.000
0.000 0.000 0.500
0.333 0.667 0.250
0.667 0.333 0.750
0.333 0.667 0.750
0.667 0.333 0.250
0.019 0.380 0.643
0.019 0.639 0.857
0.361 0.380 0.857
0.361 0.981 0.643
0.380 0.019 0.143
0.380 0.361 0.357
0.620 0.639 0.643
0.620 0.981 0.857
0.639 0.019 0.357
0.639 0.620 0.143
0.981 0.361 0.143
0.981 0.620 0.357
```


Simulated PXRD pattern of K2CrNiF6 for Cu Kα X-rays, from a DFT-relaxed cell (PBE+U, Alexandria).
Kinematic intensities with the Lorentz-polarization factor, no thermal factor.

Peak list (10 most intense, 2θ from 10° to 90°, by angle)
2theta	I/Imax
21.1	28.9
21.4	14.0
29.7	26.5
30.2	100.0
30.4	24.5
43.0	67.8
43.5	32.8
53.0	18.5
53.9	26.2
62.8	36.3

```
K2CrNiF6
1.0
-2.939 3.011 4.160
2.939 -3.011 4.160
2.939 3.011 -4.160
K Cr Ni F
2 1 1 6
direct
0.249 0.249 0.000
0.751 0.751 0.000
0.000 0.500 0.500
0.500 0.000 0.500
0.255 0.755 0.500
0.262 0.244 0.506
0.262 0.756 0.018
0.738 0.244 0.982
0.738 0.756 0.494
0.745 0.245 0.500
```


Q: Which formula does entry 2 have?
A: Cr4InF12